(1)
Zr6Pb2N: simulated powder XRD pattern (CuKα), based on a cell relaxed with PBE.
No peak broadening, texture or thermal motion is included.

Largest 12 diffraction maxima, by angle, 5 to 70 degrees two-theta:
| two_theta | I/Imax |
| --- | --- |
| 18.5 | 5 |
| 20.1 | 9 |
| 27.4 | 10 |
| 28.6 | 6 |
| 34.2 | 100 |
| 37.4 | 21 |
| 40.8 | 31 |
| 45.2 | 3 |
| 49.9 | 5 |
| 56.6 | 24 |
| 59.1 | 10 |
| 65.5 | 15 |

Structural model:
```
Zr6Pb2N
1.0
6.252 0.000 0.000
0.000 6.252 0.000
0.000 0.000 9.607
Zr Pb N
12 4 2
Direct
0.000 0.000 0.247 Zr
0.000 0.000 0.753 Zr
0.222 0.269 0.500 Zr
0.231 0.278 0.000 Zr
0.269 0.778 0.500 Zr
0.278 0.769 0.000 Zr
0.500 0.500 0.253 Zr
0.500 0.500 0.747 Zr
0.722 0.231 0.000 Zr
0.731 0.222 0.500 Zr
0.769 0.722 0.000 Zr
0.778 0.731 0.500 Zr
0.000 0.500 0.250 Pb
0.000 0.500 0.750 Pb
0.500 0.000 0.250 Pb
0.500 0.000 0.750 Pb
0.000 0.000 0.000 N
0.500 0.500 0.500 N
```


(2)
NaZrTe: simulated powder XRD pattern (CuKα), based on a cell relaxed with PBE.
No peak broadening, texture or thermal motion is included.

Largest 12 diffraction maxima, by angle, 5 to 70 degrees two-theta:
| two_theta | I/Imax |
| --- | --- |
| 10.7 | 52 |
| 23.1 | 70 |
| 31.0 | 39 |
| 32.6 | 12 |
| 36.4 | 100 |
| 38.8 | 28 |
| 41.5 | 40 |
| 43.9 | 11 |
| 48.0 | 20 |
| 58.1 | 17 |
| 60.1 | 13 |
| 62.0 | 16 |

Structural model:
```
NaZrTe
1.0
4.352 0.000 0.000
0.000 4.352 0.000
0.000 0.000 8.241
Na Zr Te
2 2 2
Direct
0.250 0.250 0.152 Na
0.750 0.750 0.848 Na
0.250 0.750 0.500 Zr
0.750 0.250 0.500 Zr
0.250 0.250 0.756 Te
0.750 0.750 0.244 Te
```


(3)
MgZn9Ga4: simulated powder XRD pattern (CuKα), based on a cell relaxed with PBE.
No peak broadening, texture or thermal motion is included.

Largest 12 diffraction maxima, by angle, 5 to 70 degrees two-theta:
| two_theta | I/Imax |
| --- | --- |
| 14.0 | 67 |
| 14.4 | 29 |
| 34.8 | 72 |
| 35.4 | 46 |
| 42.2 | 91 |
| 42.5 | 100 |
| 42.8 | 45 |
| 42.9 | 28 |
| 43.1 | 58 |
| 43.4 | 44 |
| 44.2 | 27 |
| 67.5 | 24 |

Structural model:
```
MgZn9Ga4
1.0
-4.484 4.484 6.154
4.484 -4.484 6.154
4.484 4.484 -6.154
Mg Zn Ga
2 18 8
Direct
0.250 0.250 0.000 Mg
0.750 0.750 0.000 Mg
0.000 0.500 0.500 Zn
0.047 0.802 0.849 Zn
0.060 0.560 0.270 Zn
0.198 0.047 0.246 Zn
0.210 0.940 0.500 Zn
0.290 0.790 0.730 Zn
0.302 0.547 0.849 Zn
0.440 0.710 0.500 Zn
0.453 0.302 0.754 Zn
0.500 0.000 0.500 Zn
0.547 0.698 0.246 Zn
0.560 0.290 0.500 Zn
0.698 0.453 0.151 Zn
0.710 0.210 0.270 Zn
0.790 0.060 0.500 Zn
0.802 0.953 0.754 Zn
0.940 0.440 0.730 Zn
0.953 0.198 0.151 Zn
0.059 0.187 0.500 Ga
0.187 0.687 0.127 Ga
0.313 0.441 0.500 Ga
0.441 0.941 0.127 Ga
0.559 0.059 0.873 Ga
0.687 0.559 0.500 Ga
0.813 0.313 0.873 Ga
0.941 0.813 0.500 Ga
```


(4)
Ca3Au: simulated powder XRD pattern (CuKα), based on a cell relaxed with PBE.
No peak broadening, texture or thermal motion is included.

Largest 12 diffraction maxima, by angle, 5 to 70 degrees two-theta:
| two_theta | I/Imax |
| --- | --- |
| 16.2 | 36 |
| 18.4 | 43 |
| 24.6 | 52 |
| 26.2 | 19 |
| 30.9 | 100 |
| 37.4 | 34 |
| 37.8 | 24 |
| 42.4 | 20 |
| 45.3 | 22 |
| 50.5 | 16 |
| 54.2 | 17 |
| 63.5 | 24 |

Structural model:
```
Ca3Au
1.0
4.810 0.000 0.000
0.000 4.810 0.000
0.000 0.000 5.477
Ca Au
3 1
Direct
0.000 0.000 0.000 Ca
0.000 0.500 0.486 Ca
0.500 0.000 0.486 Ca
0.500 0.500 0.108 Au
```


(5)
Pu2ZrSc: simulated powder XRD pattern (CuKα), based on a cell relaxed with PBE.
No peak broadening, texture or thermal motion is included.

Largest 12 diffraction maxima, by angle, 5 to 70 degrees two-theta:
| two_theta | I/Imax |
| --- | --- |
| 18.8 | 30 |
| 28.0 | 24 |
| 33.9 | 100 |
| 38.1 | 18 |
| 40.0 | 32 |
| 44.5 | 14 |
| 47.9 | 12 |
| 56.4 | 24 |
| 57.8 | 11 |
| 61.4 | 6 |
| 66.2 | 15 |
| 68.7 | 26 |

Structural model:
```
Pu2ZrSc
1.0
4.511 0.000 0.000
0.000 4.511 0.000
0.000 0.000 4.722
Pu Zr Sc
2 1 1
Direct
0.000 0.500 0.000 Pu
0.500 0.000 0.000 Pu
0.000 0.000 0.500 Zr
0.500 0.500 0.500 Sc
```


(6)
Ce4P5Au: simulated powder XRD pattern (CuKα), based on a cell relaxed with PBE.
No peak broadening, texture or thermal motion is included.

Largest 12 diffraction maxima, by angle, 5 to 70 degrees two-theta:
| two_theta | I/Imax |
| --- | --- |
| 5.8 | 26 |
| 26.7 | 72 |
| 29.1 | 15 |
| 31.6 | 100 |
| 35.6 | 8 |
| 41.8 | 5 |
| 43.7 | 46 |
| 47.0 | 23 |
| 51.9 | 12 |
| 53.4 | 17 |
| 54.9 | 21 |
| 66.1 | 8 |

Structural model:
```
Ce4P5Au
1.0
2.072 1.196 15.320
-2.072 1.196 15.320
0.000 -2.392 15.320
Ce P Au
4 5 1
Direct
0.109 0.109 0.109 Ce
0.298 0.298 0.298 Ce
0.702 0.702 0.702 Ce
0.891 0.891 0.891 Ce
0.000 0.000 0.000 P
0.195 0.195 0.195 P
0.405 0.405 0.405 P
0.595 0.595 0.595 P
0.805 0.805 0.805 P
0.500 0.500 0.500 Au
```


(7)
CaNd14Y: simulated powder XRD pattern (CuKα), based on a cell relaxed with PBE.
No peak broadening, texture or thermal motion is included.

Largest 12 diffraction maxima, by angle, 5 to 70 degrees two-theta:
| two_theta | I/Imax |
| --- | --- |
| 27.7 | 24 |
| 30.0 | 25 |
| 31.6 | 100 |
| 41.3 | 16 |
| 48.9 | 19 |
| 54.3 | 21 |
| 58.5 | 23 |
| 59.4 | 11 |
| 59.5 | 6 |
| 62.4 | 3 |
| 65.9 | 4 |
| 69.6 | 3 |

Structural model:
```
CaNd14Y
1.0
11.898 0.000 0.000
0.000 3.727 6.442
0.000 -3.727 6.442
Ca Nd Y
1 14 1
Direct
0.000 0.000 0.000 Ca
0.000 0.501 0.997 Nd
0.000 0.997 0.501 Nd
0.247 0.668 0.668 Nd
0.251 0.170 0.170 Nd
0.251 0.170 0.662 Nd
0.251 0.662 0.170 Nd
0.500 0.000 0.500 Nd
0.500 0.001 0.001 Nd
0.500 0.500 0.000 Nd
0.500 0.501 0.501 Nd
0.749 0.170 0.170 Nd
0.749 0.170 0.662 Nd
0.749 0.662 0.170 Nd
0.753 0.668 0.668 Nd
0.000 0.500 0.500 Y
```


(8)
Rb2Th3S6: simulated powder XRD pattern (CuKα), based on a cell relaxed with PBE.
No peak broadening, texture or thermal motion is included.

Largest 12 diffraction maxima, by angle, 5 to 70 degrees two-theta:
| two_theta | I/Imax |
| --- | --- |
| 11.1 | 91 |
| 22.3 | 28 |
| 25.2 | 29 |
| 26.1 | 51 |
| 29.2 | 100 |
| 36.4 | 21 |
| 39.3 | 14 |
| 39.4 | 26 |
| 44.0 | 33 |
| 45.5 | 18 |
| 45.7 | 16 |
| 49.9 | 14 |

Structural model:
```
Rb2Th3S6
1.0
3.570 -6.173 0.000
3.570 6.173 0.000
-2.354 0.000 7.967
Rb Th S
2 3 6
Direct
0.167 0.833 0.000 Rb
0.833 0.167 0.000 Rb
0.000 0.000 0.500 Th
0.336 0.664 0.500 Th
0.664 0.336 0.500 Th
0.062 0.398 0.694 S
0.265 0.265 0.301 S
0.398 0.062 0.694 S
0.602 0.938 0.306 S
0.735 0.735 0.699 S
0.938 0.602 0.306 S
```